The following is a theoretical X-ray powder pattern of Ac6Ru2Br3Cl. It was derived from a GGA-PBE-relaxed structure, using Cu Kα X-rays.
Kinematic intensities with the Lorentz-polarization factor, no thermal factor.

```
data_Ac6Ru2Br3Cl
_cell_length_a 7.6317
_cell_length_b 13.2269
_cell_length_c 8.6774
_cell_angle_alpha 90.00
_cell_angle_beta 106.88
_cell_angle_gamma 90.00
_symmetry_space_group_name_H-M 'C 1 2/m 1'
_symmetry_Int_Tables_number 12
_symmetry_space_group_name_Hall '-C 2y'
loop_
_atom_site_label
_atom_site_type_symbol
_atom_site_fract_x
_atom_site_fract_y
_atom_site_fract_z
Ac1 Ac 0.2027 0.0000 0.1978
Ac2 Ac 0.2474 0.3187 0.1987
Ru1 Ru 0.0000 0.1665 0.0000
Br1 Br 0.0000 0.0000 0.5000
Br2 Br 0.0000 0.3316 0.5000
Cl1 Cl 0.0000 0.5000 0.0000
```

Largest 8 diffraction maxima, by angle, 2θ from 15° to 90°:
2θ (°), I_rel, h k l
24.4, 27, 1 3 -1
27.4, 100, 2 0 -2
29.5, 13, 2 0 1
34.5, 16, 1 3 2
37.2, 11, 2 0 2
37.3, 19, 1 3 -3
41.0, 36, 0 6 0
50.0, 17, 2 6 -2


The following is a theoretical X-ray powder pattern of Ac5Co2Br2. It was derived from a GGA-PBE-relaxed structure, using Cu Kα X-rays.
Kinematic intensities with the Lorentz-polarization factor, no thermal factor.

```
data_Ac5Co2Br2
_cell_length_a 8.5868
_cell_length_b 8.6363
_cell_length_c 8.4368
_cell_angle_alpha 90.00
_cell_angle_beta 110.77
_cell_angle_gamma 90.00
_symmetry_space_group_name_H-M 'P 1 21/c 1'
_symmetry_Int_Tables_number 14
_symmetry_space_group_name_Hall '-P 2ybc'
loop_
_atom_site_label
_atom_site_type_symbol
_atom_site_fract_x
_atom_site_fract_y
_atom_site_fract_z
Ac1 Ac 0.0000 0.0000 0.0000
Ac2 Ac 0.1748 0.1252 0.6724
Ac3 Ac 0.3011 0.6971 0.9273
Co1 Co 0.0522 0.6960 0.1579
Br1 Br 0.4138 0.0350 0.1666
```

Largest 8 diffraction maxima, by angle, 2θ from 15° to 90°:
2θ (°), I_rel, h k l
24.8, 35, 0 1 2
27.5, 31, 2 1 -2
29.5, 45, 2 2 -1
29.8, 40, 1 2 -2
30.2, 57, 2 1 1
30.4, 40, 1 1 2
33.1, 100, 3 0 -2
33.5, 33, 1 1 -3


The following is a theoretical X-ray powder pattern of Ac8Co3PBr3. It was derived from a GGA-PBE-relaxed structure, using Cu Kα X-rays.
Kinematic intensities with the Lorentz-polarization factor, no thermal factor.

```
data_Ac8Co3PBr3
_cell_length_a 15.0560
_cell_length_b 8.6823
_cell_length_c 9.3514
_cell_angle_alpha 90.00
_cell_angle_beta 122.41
_cell_angle_gamma 90.00
_symmetry_space_group_name_H-M 'C 1 2/m 1'
_symmetry_Int_Tables_number 12
_symmetry_space_group_name_Hall '-C 2y'
loop_
_atom_site_label
_atom_site_type_symbol
_atom_site_fract_x
_atom_site_fract_y
_atom_site_fract_z
Ac1 Ac 0.0206 0.2382 0.3005
Ac2 Ac 0.2327 0.0000 0.6974
Ac3 Ac 0.2409 0.5000 0.6993
Co1 Co 0.0000 0.0000 0.5000
Co2 Co 0.2500 0.2500 0.5000
P1 P 0.0000 0.5000 0.5000
Br1 Br 0.0000 0.5000 0.0000
Br2 Br 0.2500 0.2500 0.0000
```

Largest 8 diffraction maxima, by angle, 2θ from 15° to 90°:
2θ (°), I_rel, h k l
24.8, 48, 2 2 0
28.1, 100, 4 0 0
30.3, 16, 4 0 -3
35.7, 17, 2 2 -3
38.7, 26, 2 2 2
41.6, 40, 0 4 0
50.9, 19, 4 4 0
54.8, 16, 6 2 -5


The following is a theoretical X-ray powder pattern of Ac6CoPd2Br2. It was derived from a GGA-PBE-relaxed structure, using Cu Kα X-rays.
Kinematic intensities with the Lorentz-polarization factor, no thermal factor.

```
data_Ac6CoPd2Br2
_cell_length_a 7.5855
_cell_length_b 13.3307
_cell_length_c 8.2915
_cell_angle_alpha 90.00
_cell_angle_beta 108.34
_cell_angle_gamma 90.00
_symmetry_space_group_name_H-M 'C 1 2/m 1'
_symmetry_Int_Tables_number 12
_symmetry_space_group_name_Hall '-C 2y'
loop_
_atom_site_label
_atom_site_type_symbol
_atom_site_fract_x
_atom_site_fract_y
_atom_site_fract_z
Ac1 Ac 0.2315 0.1550 0.2034
Ac2 Ac 0.2459 0.5000 0.2044
Co1 Co 0.0000 0.0000 0.0000
Pd1 Pd 0.0000 0.3301 0.0000
Br1 Br 0.0000 0.1692 0.5000
```

Largest 8 diffraction maxima, by angle, 2θ from 15° to 90°:
2θ (°), I_rel, h k l
24.4, 23, 1 3 -1
24.7, 12, 2 0 0
27.8, 100, 1 3 1
35.5, 11, 1 3 2
38.4, 19, 1 3 -3
40.6, 13, 0 6 0
41.1, 26, 3 3 -1
49.9, 13, 2 6 -2


The following is a theoretical X-ray powder pattern of Ac4CoSeBr2. It was derived from a GGA-PBE-relaxed structure, using Cu Kα X-rays.
Kinematic intensities with the Lorentz-polarization factor, no thermal factor.

```
data_Ac4CoSeBr2
_cell_length_a 8.0876
_cell_length_b 4.2300
_cell_length_c 8.3143
_cell_angle_alpha 90.00
_cell_angle_beta 107.13
_cell_angle_gamma 90.00
_symmetry_space_group_name_H-M 'P 1 2/m 1'
_symmetry_Int_Tables_number 10
_symmetry_space_group_name_Hall '-P 2y'
loop_
_atom_site_label
_atom_site_type_symbol
_atom_site_fract_x
_atom_site_fract_y
_atom_site_fract_z
Ac1 Ac 0.2022 0.0000 0.1934
Ac2 Ac 0.2425 0.5000 0.7888
Co1 Co 0.0000 0.5000 0.0000
Se1 Se 0.5000 0.0000 0.0000
Br1 Br 0.0000 0.0000 0.5000
Br2 Br 0.5000 0.5000 0.5000
```

Largest 8 diffraction maxima, by angle, 2θ from 15° to 90°:
2θ (°), I_rel, h k l
23.0, 16, 2 0 0
25.0, 33, 1 1 -1
27.0, 57, 2 0 -2
27.9, 100, 1 1 1
38.9, 31, 1 1 -3
39.7, 40, 3 1 -1
42.8, 19, 0 2 0
51.3, 20, 2 2 -2